Calculated PXRD pattern
Compound: NaEuHfWO6
Radiation: Cu Kα (λ = 1.5418 Å)
Structure: a structure optimized by DFT (PBE+U)

Structure:
```
data_NaEuHfWO6
_symmetry_space_group_name_H-M 'F -4 3 m'
_symmetry_Int_Tables_number 216
_symmetry_space_group_name_Hall 'F -4 2 3'
_cell_length_a 8.0981
_cell_length_b 8.0981
_cell_length_c 8.0981
_cell_angle_alpha 90.00
_cell_angle_beta 90.00
_cell_angle_gamma 90.00
loop_
_atom_site_label
_atom_site_type_symbol
_atom_site_fract_x
_atom_site_fract_y
_atom_site_fract_z
Na1 Na 0.0000 0.0000 0.0000
Eu1 Eu 0.0000 0.0000 0.5000
Hf1 Hf 0.2500 0.2500 0.2500
W1 W 0.2500 0.2500 0.7500
O1 O 0.0044 0.2500 0.7500
```

Top 12 peaks for 15 to 90 degrees two-theta, sorted by position:
(hkl), 2theta, intensity
1 1 1, 18.98, 146
2 0 0, 21.95, 224
2 2 0, 31.24, 1000
3 1 1, 36.81, 85
4 0 0, 44.77, 293
3 3 1, 49.03, 38
4 2 0, 50.39, 94
4 2 2, 55.60, 405
4 4 0, 65.17, 182
6 0 0, 69.67, 44
6 2 0, 74.04, 176
4 4 4, 82.53, 61



Calculated PXRD pattern
Compound: PrEuHfVO6
Radiation: Cu Kα (λ = 1.5418 Å)
Structure: a structure optimized by DFT (PBE+U)

Structure:
```
data_PrEuHfVO6
_symmetry_space_group_name_H-M 'F -4 3 m'
_symmetry_Int_Tables_number 216
_symmetry_space_group_name_Hall 'F -4 2 3'
_cell_length_a 8.0549
_cell_length_b 8.0549
_cell_length_c 8.0549
_cell_angle_alpha 90.00
_cell_angle_beta 90.00
_cell_angle_gamma 90.00
loop_
_atom_site_label
_atom_site_type_symbol
_atom_site_fract_x
_atom_site_fract_y
_atom_site_fract_z
Pr1 Pr 0.0000 0.0000 0.0000
Eu1 Eu 0.0000 0.0000 0.5000
Hf1 Hf 0.2500 0.2500 0.7500
V1 V 0.2500 0.2500 0.2500
O1 O 0.0028 0.2500 0.2500
```

Top 12 peaks for 15 to 90 degrees two-theta, sorted by position:
(hkl), 2theta, intensity
1 1 1, 19.08, 140
2 2 0, 31.41, 1000
3 1 1, 37.01, 87
2 2 2, 38.72, 44
4 0 0, 45.02, 292
3 3 1, 49.31, 42
4 2 2, 55.92, 397
3 3 3, 59.64, 30
4 4 0, 65.56, 179
5 3 1, 68.97, 30
6 2 0, 74.50, 172
4 4 4, 83.07, 61